Simulated powder X-ray diffraction pattern of Ag5PSeO4 for Cu Kα (λ = 1.5418 Å), from a cell relaxed with GGA-PBE.
Neutral-atom scattering factors, no anomalous dispersion.

Peak list (10 most intense, 2θ from 10° to 90°, sorted by position)
| 2θ/deg | I_rel |
| --- | --- |
| 17.49 | 16.1 |
| 17.96 | 20.9 |
| 28.27 | 28.4 |
| 35.40 | 100.0 |
| 36.38 | 50.5 |
| 40.64 | 16.9 |
| 45.09 | 17.3 |
| 52.40 | 16.9 |
| 52.52 | 17.0 |
| 64.83 | 20.9 |

Structural model:
```
Ag5PSeO4
1.0
6.984 0.000 0.000
0.000 6.984 0.000
0.000 0.000 7.377
Ag P Se O
10 2 2 8
direct
0.032 0.032 0.195 Ag
0.032 0.468 0.195 Ag
0.250 0.250 0.470 Ag
0.468 0.032 0.195 Ag
0.468 0.468 0.195 Ag
0.532 0.532 0.805 Ag
0.532 0.968 0.805 Ag
0.750 0.750 0.530 Ag
0.968 0.532 0.805 Ag
0.968 0.968 0.805 Ag
0.250 0.750 0.500 P
0.750 0.250 0.500 P
0.250 0.250 0.996 Se
0.750 0.750 0.004 Se
0.067 0.750 0.378 O
0.250 0.567 0.622 O
0.250 0.933 0.622 O
0.433 0.750 0.378 O
0.567 0.250 0.622 O
0.750 0.067 0.378 O
0.750 0.433 0.378 O
0.933 0.250 0.622 O
```

Simulated powder X-ray diffraction pattern of Pm4Y3Ho4 for Cu Kα (λ = 1.5418 Å), from a cell relaxed with GGA-PBE.
Neutral-atom scattering factors, no anomalous dispersion.

Peak list (10 most intense, 2θ from 10° to 90°, sorted by position)
| 2θ/deg | I_rel |
| --- | --- |
| 30.72 | 50.1 |
| 31.43 | 39.2 |
| 32.02 | 100.0 |
| 33.86 | 15.0 |
| 44.54 | 13.3 |
| 46.87 | 12.0 |
| 52.76 | 11.3 |
| 56.32 | 24.3 |
| 61.96 | 15.5 |
| 62.72 | 13.4 |

Structural model:
```
Pm4Y3Ho4
1.0
10.590 0.000 0.000
0.000 2.846 6.050
0.000 -2.846 6.050
Pm Y Ho
4 3 4
direct
0.000 0.000 0.000 Pm
0.207 0.794 0.794 Pm
0.500 0.925 0.925 Pm
0.793 0.794 0.794 Pm
0.000 0.294 0.294 Y
0.292 0.450 0.450 Y
0.708 0.450 0.450 Y
0.000 0.591 0.591 Ho
0.301 0.143 0.143 Ho
0.500 0.655 0.655 Ho
0.699 0.143 0.143 Ho
```

Copy entry 2 word for word.
Simulated powder X-ray diffraction pattern of Pm4Y3Ho4 for Cu Kα (λ = 1.5418 Å), from a cell relaxed with GGA-PBE.
Neutral-atom scattering factors, no anomalous dispersion.

Peak list (10 most intense, 2θ from 10° to 90°, sorted by position)
| 2θ/deg | I_rel |
| --- | --- |
| 30.72 | 50.1 |
| 31.43 | 39.2 |
| 32.02 | 100.0 |
| 33.86 | 15.0 |
| 44.54 | 13.3 |
| 46.87 | 12.0 |
| 52.76 | 11.3 |
| 56.32 | 24.3 |
| 61.96 | 15.5 |
| 62.72 | 13.4 |

Structural model:
```
Pm4Y3Ho4
1.0
10.590 0.000 0.000
0.000 2.846 6.050
0.000 -2.846 6.050
Pm Y Ho
4 3 4
direct
0.000 0.000 0.000 Pm
0.207 0.794 0.794 Pm
0.500 0.925 0.925 Pm
0.793 0.794 0.794 Pm
0.000 0.294 0.294 Y
0.292 0.450 0.450 Y
0.708 0.450 0.450 Y
0.000 0.591 0.591 Ho
0.301 0.143 0.143 Ho
0.500 0.655 0.655 Ho
0.699 0.143 0.143 Ho
```

Number 1 is which compound?
Ag5PSeO4

Copy entry 1 word for word.
Simulated powder X-ray diffraction pattern of Ag5PSeO4 for Cu Kα (λ = 1.5418 Å), from a cell relaxed with GGA-PBE.
Neutral-atom scattering factors, no anomalous dispersion.

Peak list (10 most intense, 2θ from 10° to 90°, sorted by position)
| 2θ/deg | I_rel |
| --- | --- |
| 17.49 | 16.1 |
| 17.96 | 20.9 |
| 28.27 | 28.4 |
| 35.40 | 100.0 |
| 36.38 | 50.5 |
| 40.64 | 16.9 |
| 45.09 | 17.3 |
| 52.40 | 16.9 |
| 52.52 | 17.0 |
| 64.83 | 20.9 |

Structural model:
```
Ag5PSeO4
1.0
6.984 0.000 0.000
0.000 6.984 0.000
0.000 0.000 7.377
Ag P Se O
10 2 2 8
direct
0.032 0.032 0.195 Ag
0.032 0.468 0.195 Ag
0.250 0.250 0.470 Ag
0.468 0.032 0.195 Ag
0.468 0.468 0.195 Ag
0.532 0.532 0.805 Ag
0.532 0.968 0.805 Ag
0.750 0.750 0.530 Ag
0.968 0.532 0.805 Ag
0.968 0.968 0.805 Ag
0.250 0.750 0.500 P
0.750 0.250 0.500 P
0.250 0.250 0.996 Se
0.750 0.750 0.004 Se
0.067 0.750 0.378 O
0.250 0.567 0.622 O
0.250 0.933 0.622 O
0.433 0.750 0.378 O
0.567 0.250 0.622 O
0.750 0.067 0.378 O
0.750 0.433 0.378 O
0.933 0.250 0.622 O
```